Simulated X-ray diffraction stick pattern
Compound: Ta11P2Se8
Radiation: Cu Ka
Structure: a GGA-PBE-relaxed structure
Peak positions follow from Bragg's law for the DFT cell and can differ from measured ones.

The 10 most intense peaks (15° ≤ 2θ ≤ 90°), by angle:
index  2theta  intensity
1 4 1  32.7  65.3
3 0 1  34.2  51.8
1 5 1  35.6  100.0
3 3 1  37.0  48.5
4 5 0  37.8  38.5
2 5 1  37.9  49.5
5 3 0  39.9  41.7
4 2 1  40.8  77.5
1 9 0  42.5  39.7
0 0 2  53.1  45.3

abc: 12.0580 19.4281 3.4520
angles: 90.00 90.00 90.00
Space group Pnnm (No. 58)
One atom of each set of equivalent atoms:
Ta 0.0000 0.0000 0.0000 x2
Ta 0.0505 0.2406 0.0000 x4
Ta 0.0665 0.1136 0.5000 x4
Ta 0.1504 0.7897 0.5000 x4
Ta 0.1770 0.9500 0.5000 x4
Ta 0.1819 0.3544 0.5000 x4
P 0.0864 0.8740 0.0000 x4
Se 0.0359 0.6721 0.5000 x4
Se 0.1111 0.4460 0.0000 x4
Se 0.2141 0.0569 0.0000 x4
Se 0.2210 0.2146 0.5000 x4


Simulated X-ray diffraction stick pattern
Compound: KTlCuI3
Radiation: Cu Ka
Structure: a GGA-PBE-relaxed structure
Peak positions follow from Bragg's law for the DFT cell and can differ from measured ones.

The 10 most intense peaks (15° ≤ 2θ ≤ 90°), by angle:
index  2theta  intensity
0 2 3  22.3  19.7
1 3 0  26.7  24.6
1 3 1  27.5  100.0
0 4 2  27.8  15.6
1 3 3  32.7  22.6
0 4 4  35.4  17.7
0 0 6  37.6  14.0
2 0 0  38.8  17.7
1 3 5  41.5  23.1
1 7 1  48.9  14.3

abc: 4.6434 14.3788 14.3463
angles: 90.00 90.00 90.00
Space group Cmcm (No. 63)
One atom of each set of equivalent atoms:
K 0.0000 0.0000 0.0000 x4
Tl 0.0000 0.2509 0.2500 x4
Cu 0.0000 0.4391 0.7500 x4
I 0.0000 0.0443 0.7500 x4
I 0.0000 0.3440 0.5943 x8


Simulated X-ray diffraction stick pattern
Compound: Ca2AcPuN4
Radiation: Cu Ka
Structure: a GGA-PBE-relaxed structure
Peak positions follow from Bragg's law for the DFT cell and can differ from measured ones.

The 10 most intense peaks (15° ≤ 2θ ≤ 90°), by angle:
index  2theta  intensity
1 0 0  15.4  100.0
0 1 1  28.8  46.3
0 0 2  29.9  36.3
1 1 -1  30.1  70.6
2 0 0  31.1  32.4
2 0 -2  34.7  34.3
1 1 1  35.3  69.0
1 0 2  38.6  29.8
1 1 -3  49.6  24.7
2 0 2  51.3  34.1

abc: 6.1474 3.6252 6.4046
angles: 90.00 110.85 90.00
Space group P2/m (No. 10)
One atom of each set of equivalent atoms:
Ca 0.0000 0.0000 0.0000 x1
Ca 0.0000 0.5000 0.5000 x1
Ac 0.5000 0.0000 0.5000 x1
Pu 0.5000 0.5000 0.0000 x1
N 0.2637 0.0000 0.7673 x2
N 0.2903 0.5000 0.2015 x2